[1]
Calculated PXRD pattern of DyAs for Cu Ka, from a DFT-relaxed cell (PBE, OQMD).

Structural model:
```
data_DyAs
_chemical_formula_sum 'Dy3 As3'
_symmetry_space_group_name_H-M 'P 31 2 1'
_symmetry_Int_Tables_number 152
_cell_length_a 4.1100
_cell_length_b 4.1100
_cell_length_c 10.0932
_cell_angle_alpha 90.00
_cell_angle_beta 90.00
_cell_angle_gamma 120.00
loop_
_symmetry_equiv_pos_as_xyz
'x,y,z'
'-y,x-y,z+1/3'
'-x+y,-x,z+2/3'
'y,x,-z'
'x-y,-y,-z+2/3'
'-x,-x+y,-z+1/3'
loop_
_atom_site_label
_atom_site_type_symbol
_atom_site_fract_x
_atom_site_fract_y
_atom_site_fract_z
Dy1 Dy 0.0000 0.3311 0.1667
As1 As 0.0000 0.3350 0.6667
```

Top 6 peaks for 5 to 70 degrees two-theta, low angle first:
hkl  two_theta  I (rel.)
1 0 1  26.5  23
0 1 2  30.7  100
1 1 0  44.0  75
1 1 3  52.1  8
2 0 2  54.7  20
0 2 4  64.0  12

=====

[2]
Calculated PXRD pattern of DyErNi2As2 for Cu Ka, from a DFT-relaxed cell (PBE, OQMD).

Structural model:
```
data_DyErNi2As2
_chemical_formula_sum 'Dy2 Er2 Ni4 As4'
_symmetry_space_group_name_H-M 'P 63/m m c'
_symmetry_Int_Tables_number 194
_symmetry_space_group_name_Hall '-P 6c 2c'
_cell_length_a 4.0613
_cell_length_b 4.0613
_cell_length_c 15.1702
_cell_angle_alpha 90.00
_cell_angle_beta 90.00
_cell_angle_gamma 120.00
loop_
_atom_site_label
_atom_site_type_symbol
_atom_site_fract_x
_atom_site_fract_y
_atom_site_fract_z
Dy1 Dy 0.0000 0.0000 0.0000
Er1 Er 0.0000 0.0000 0.2500
Ni1 Ni 0.3333 0.6667 0.1346
As1 As 0.3333 0.6667 0.6215
```

Top 6 peaks for 5 to 70 degrees two-theta, low angle first:
hkl  two_theta  I (rel.)
1 0 0  25.3  17
1 0 4  34.8  100
1 1 0  44.6  43
0 0 8  48.0  11
2 0 4  57.8  23
1 1 8  67.6  23